Entry 1:
This entry pairs a crystal structure of AcY3Er6 with its computed X-ray powder pattern. Radiation: Cu Kα, 1.54184 Å. Structure: a GGA-PBE-relaxed structure.

Crystal structure
```
data_AcY3Er6
_chemical_formula_sum 'Ac3 Y9 Er18'
_space_group_name_H-M_alt 'R 3 2'
_space_group_IT_number 155
_space_group_name_Hall 'R 3 2"'
_cell_length_a 9.8339
_cell_length_b 9.8339
_cell_length_c 11.9898
_cell_angle_alpha 90.00
_cell_angle_beta 90.00
_cell_angle_gamma 120.00
loop_
_atom_site_label
_atom_site_type_symbol
_atom_site_fract_x
_atom_site_fract_y
_atom_site_fract_z
_atom_site_occupancy
Ac1 Ac 0.0000 0.0000 0.0000 1
Y1 Y 0.0000 0.0000 0.2616 1
Y2 Y 0.0000 0.0000 0.5000 1
Er1 Er 0.0000 0.3458 0.0000 1
Er2 Er 0.0000 0.6647 0.5000 1
```

Top 10 peaks for 10° ≤ 2θ ≤ 90°, in order of falling intensity:
2θ (°)	I (rel.)	h k l
31.52	100	3 0 0
28.78	89	1 1 3
54.45	29	4 1 3
43.20	29	2 2 3
56.14	25	3 3 0
56.30	23	3 0 6
65.81	14	6 0 0
73.35	12	5 2 3
41.15	11	2 1 4
74.94	9	3 3 6

***

Entry 2:
This entry pairs a crystal structure of TbMg2Al9 with its computed X-ray powder pattern. Radiation: Cu Kα, 1.54184 Å. Structure: a GGA-PBE-relaxed structure.

Crystal structure
```
data_TbMg2Al9
_chemical_formula_sum 'Tb3 Mg6 Al27'
_space_group_name_H-M_alt 'R -3 m'
_space_group_IT_number 166
_space_group_name_Hall '-R 3 2"'
_cell_length_a 5.4302
_cell_length_b 5.4302
_cell_length_c 26.7885
_cell_angle_alpha 90.00
_cell_angle_beta 90.00
_cell_angle_gamma 120.00
loop_
_atom_site_label
_atom_site_type_symbol
_atom_site_fract_x
_atom_site_fract_y
_atom_site_fract_z
_atom_site_occupancy
Tb1 Tb 0.0000 0.0000 0.0000 1
Mg1 Mg 0.0000 0.0000 0.1444 1
Al1 Al 0.0000 0.0000 0.3347 1
Al2 Al 0.0000 0.0000 0.5000 1
Al3 Al 0.0037 0.5018 0.9162 1
```

Top 10 peaks for 10° ≤ 2θ ≤ 90°, in order of falling intensity:
2θ (°)	I (rel.)	h k l
38.83	100	1 1 6
30.09	37	1 0 7
32.99	33	1 1 0
38.43	29	0 2 1
23.11	29	1 0 4
32.83	28	0 1 8
20.01	27	0 1 2
25.20	24	0 1 5
62.82	21	3 0 6
34.53	20	1 1 3

***

Entry 3:
This entry pairs a crystal structure of La7Ho4Mg with its computed X-ray powder pattern. Radiation: Cu Kα, 1.54184 Å. Structure: a GGA-PBE-relaxed structure.

Crystal structure
```
data_La7Ho4Mg
_chemical_formula_sum 'La7 Ho4 Mg1'
_space_group_name_H-M_alt 'P -1'
_space_group_IT_number 2
_space_group_name_Hall '-P 1'
_cell_length_a 5.903
_cell_length_b 6.498
_cell_length_c 12.586
_cell_angle_alpha 80.99
_cell_angle_beta 77.15
_cell_angle_gamma 63.04
loop_
_atom_site_label
_atom_site_type_symbol
_atom_site_fract_x
_atom_site_fract_y
_atom_site_fract_z
_atom_site_occupancy
La1 La 0.000 0.000 0.000 1
La2 La 0.183 0.495 0.093 1
La3 La 0.345 0.023 0.273 1
La4 La 0.345 0.774 0.536 1
Ho1 Ho 0.004 0.621 0.366 1
Ho2 Ho 0.338 0.554 0.800 1
Mg1 Mg 0.500 0.000 0.000 1
```

Top 10 peaks for 10° ≤ 2θ ≤ 90°, in order of falling intensity:
2θ (°)	I (rel.)	h k l
30.28	100	2 1 1
30.96	73	1 1 -3
31.28	66	1 0 4
32.23	62	0 1 4
29.28	47	1 2 2
29.13	45	-1 1 1
27.69	26	1 2 1
35.18	22	0 2 -2
15.33	21	0 1 0
30.42	17	1 1 4

***

Entry 4:
This entry pairs a crystal structure of Tl7Bi5 with its computed X-ray powder pattern. Radiation: Cu Kα, 1.54184 Å. Structure: a GGA-PBE-relaxed structure.

Crystal structure
```
data_Tl7Bi5
_chemical_formula_sum 'Tl14 Bi10'
_space_group_name_H-M_alt 'C 1 m 1'
_space_group_IT_number 8
_space_group_name_Hall 'C -2y'
_cell_length_a 12.113
_cell_length_b 5.642
_cell_length_c 12.336
_cell_angle_alpha 90.00
_cell_angle_beta 111.64
_cell_angle_gamma 90.00
loop_
_atom_site_label
_atom_site_type_symbol
_atom_site_fract_x
_atom_site_fract_y
_atom_site_fract_z
_atom_site_occupancy
Tl1 Tl 0.000 0.000 0.000 1
Tl2 Tl 0.009 0.500 0.506 1
Tl3 Tl 0.054 0.000 0.705 1
Tl4 Tl 0.196 0.500 0.034 1
Tl5 Tl 0.253 0.000 0.244 1
Tl6 Tl 0.294 0.000 0.958 1
Tl7 Tl 0.441 0.000 0.778 1
Bi1 Bi 0.045 0.500 0.216 1
Bi2 Bi 0.207 0.000 0.522 1
Bi3 Bi 0.250 0.500 0.768 1
Bi4 Bi 0.288 0.500 0.443 1
Bi5 Bi 0.461 0.500 0.292 1
```

Top 10 peaks for 10° ≤ 2θ ≤ 90°, in order of falling intensity:
2θ (°)	I (rel.)	h k l
30.90	100	3 1 -3
31.68	83	0 2 0
31.91	50	3 1 1
56.01	30	3 3 -3
63.45	25	7 1 1
31.20	24	0 0 4
45.09	18	0 2 4
31.79	17	4 0 0
62.44	14	1 1 7
45.52	13	4 2 0

***

Entry 5:
This entry pairs a crystal structure of Ac4Tb2Sm with its computed X-ray powder pattern. Radiation: Cu Kα, 1.54184 Å. Structure: a GGA-PBE-relaxed structure.

Crystal structure
```
data_Ac4Tb2Sm
_chemical_formula_sum 'Ac16 Tb8 Sm4'
_space_group_name_H-M_alt 'C 1 c 1'
_space_group_IT_number 9
_space_group_name_Hall 'C -2yc'
_cell_length_a 6.748
_cell_length_b 12.900
_cell_length_c 13.201
_cell_angle_alpha 90.00
_cell_angle_beta 104.78
_cell_angle_gamma 90.00
loop_
_atom_site_label
_atom_site_type_symbol
_atom_site_fract_x
_atom_site_fract_y
_atom_site_fract_z
_atom_site_occupancy
Ac1 Ac 0.000 0.062 0.000 1
Ac2 Ac 0.211 0.311 0.919 1
Ac3 Ac 0.305 0.174 0.570 1
Ac4 Ac 0.444 0.075 0.849 1
Tb1 Tb 0.050 0.398 0.644 1
Tb2 Tb 0.118 0.150 0.275 1
Sm1 Sm 0.373 0.377 0.209 1
```

Top 10 peaks for 10° ≤ 2θ ≤ 90°, in order of falling intensity:
2θ (°)	I (rel.)	h k l
28.67	100	1 1 3
29.89	66	2 2 -1
28.55	42	0 4 1
30.23	37	1 3 -3
30.72	30	2 2 0
34.89	27	1 3 3
48.05	23	3 1 2
41.43	16	1 5 2
57.45	15	2 0 6
52.12	14	0 2 7

***

Entry 6:
This entry pairs a crystal structure of DyEr3Tm with its computed X-ray powder pattern. Radiation: Cu Kα, 1.54184 Å. Structure: a GGA-PBE-relaxed structure.

Crystal structure
```
data_DyEr3Tm
_chemical_formula_sum 'Dy4 Er12 Tm4'
_space_group_name_H-M_alt 'P 1 21/c 1'
_space_group_IT_number 14
_space_group_name_Hall '-P 2ybc'
_cell_length_a 6.521
_cell_length_b 11.061
_cell_length_c 9.956
_cell_angle_alpha 90.00
_cell_angle_beta 121.29
_cell_angle_gamma 90.00
loop_
_atom_site_label
_atom_site_type_symbol
_atom_site_fract_x
_atom_site_fract_y
_atom_site_fract_z
_atom_site_occupancy
Dy1 Dy 0.206 0.123 0.151 1
Er1 Er 0.008 0.097 0.714 1
Er2 Er 0.160 0.677 0.147 1
Er3 Er 0.412 0.098 0.589 1
Tm1 Tm 0.423 0.642 0.522 1
```

Top 10 peaks for 10° ≤ 2θ ≤ 90°, in order of falling intensity:
2θ (°)	I (rel.)	h k l
32.44	100	1 0 2
31.44	46	1 2 -3
32.14	16	0 3 2
46.49	12	1 4 2
58.51	11	3 2 1
56.61	9	0 2 5
32.26	9	2 1 -3
40.16	7	1 4 1
45.15	7	3 0 -4
34.09	6	0 4 1

***

Entry 7:
This entry pairs a crystal structure of Ce2HgPd6 with its computed X-ray powder pattern. Radiation: Cu Kα, 1.54184 Å. Structure: a GGA-PBE-relaxed structure.

Crystal structure
```
data_Ce2HgPd6
_chemical_formula_sum 'Ce2 Hg1 Pd6'
_space_group_name_H-M_alt 'P -3 m 1'
_space_group_IT_number 164
_space_group_name_Hall '-P 3 2"'
_cell_length_a 5.7191
_cell_length_b 5.7191
_cell_length_c 6.4183
_cell_angle_alpha 90.00
_cell_angle_beta 90.00
_cell_angle_gamma 120.00
loop_
_atom_site_label
_atom_site_type_symbol
_atom_site_fract_x
_atom_site_fract_y
_atom_site_fract_z
_atom_site_occupancy
Ce1 Ce 0.3333 0.6667 0.2274 1
Hg1 Hg 0.0000 0.0000 0.0000 1
Pd1 Pd 0.1734 0.3469 0.6704 1
```

Top 10 peaks for 10° ≤ 2θ ≤ 90°, in order of falling intensity:
2θ (°)	I (rel.)	h k l
38.98	100	2 0 1
46.29	55	0 2 2
33.27	35	0 1 2
34.33	26	1 1 1
65.26	21	2 2 0
66.35	15	2 1 3
22.68	15	0 1 1
56.93	14	1 2 2
78.70	12	0 4 1
83.70	12	4 0 2

***

Entry 8:
This entry pairs a crystal structure of YAlSe3 with its computed X-ray powder pattern. Radiation: Cu Kα, 1.54184 Å. Structure: a GGA-PBE-relaxed structure.

Crystal structure
```
data_YAlSe3
_chemical_formula_sum 'Y4 Al4 Se12'
_space_group_name_H-M_alt 'C m c m'
_space_group_IT_number 63
_space_group_name_Hall '-C 2c 2'
_cell_length_a 4.068
_cell_length_b 16.869
_cell_length_c 7.492
_cell_angle_alpha 90.00
_cell_angle_beta 90.00
_cell_angle_gamma 90.00
loop_
_atom_site_label
_atom_site_type_symbol
_atom_site_fract_x
_atom_site_fract_y
_atom_site_fract_z
_atom_site_occupancy
Y1 Y 0.000 0.192 0.250 1
Al1 Al 0.000 0.437 0.250 1
Se1 Se 0.000 0.015 0.250 1
Se2 Se 0.000 0.336 0.019 1
```

Top 10 peaks for 10° ≤ 2θ ≤ 90°, in order of falling intensity:
2θ (°)	I (rel.)	h k l
25.47	100	1 1 1
32.93	99	1 1 2
42.35	97	1 5 2
36.31	78	1 3 2
31.83	65	0 6 0
27.05	63	1 3 0
31.96	57	0 4 2
55.82	49	2 6 0
44.54	48	2 0 0
26.03	35	0 2 2

***

Entry 9:
This entry pairs a crystal structure of La8Er4Sc with its computed X-ray powder pattern. Radiation: Cu Kα, 1.54184 Å. Structure: a GGA-PBE-relaxed structure.

Crystal structure
```
data_La8Er4Sc
_chemical_formula_sum 'La24 Er12 Sc3'
_space_group_name_H-M_alt 'R -3 m'
_space_group_IT_number 166
_space_group_name_Hall '-R 3 2"'
_cell_length_a 11.2353
_cell_length_b 11.2353
_cell_length_c 13.5157
_cell_angle_alpha 90.00
_cell_angle_beta 90.00
_cell_angle_gamma 120.00
loop_
_atom_site_label
_atom_site_type_symbol
_atom_site_fract_x
_atom_site_fract_y
_atom_site_fract_z
_atom_site_occupancy
La1 La 0.0000 0.0000 0.2408 1
La2 La 0.0074 0.5037 0.7440 1
Er1 Er 0.0000 0.0000 0.0000 1
Er2 Er 0.0000 0.5000 0.0000 1
Sc1 Sc 0.0000 0.0000 0.5000 1
```

Top 10 peaks for 10° ≤ 2θ ≤ 90°, in order of falling intensity:
2θ (°)	I (rel.)	h k l
31.86	100	2 2 0
32.26	95	0 2 4
19.39	38	0 2 1
57.02	37	2 4 4
45.97	35	4 0 4
56.77	19	6 0 0
37.74	17	2 2 3
57.77	17	2 0 8
75.93	16	6 2 4
19.71	15	0 0 3

***

Entry 10:
This entry pairs a crystal structure of CsGaI with its computed X-ray powder pattern. Radiation: Cu Kα, 1.54184 Å. Structure: a GGA-PBE-relaxed structure.

Crystal structure
```
data_CsGaI
_chemical_formula_sum 'Cs4 Ga4 I4'
_space_group_name_H-M_alt 'I m m m'
_space_group_IT_number 71
_space_group_name_Hall '-I 2 2'
_cell_length_a 4.951
_cell_length_b 6.016
_cell_length_c 19.404
_cell_angle_alpha 90.00
_cell_angle_beta 90.00
_cell_angle_gamma 90.00
loop_
_atom_site_label
_atom_site_type_symbol
_atom_site_fract_x
_atom_site_fract_y
_atom_site_fract_z
_atom_site_occupancy
Cs1 Cs 0.000 0.000 0.136 1
Ga1 Ga 0.245 0.000 0.500 1
I1 I 0.000 0.000 0.340 1
```

Top 10 peaks for 10° ≤ 2θ ≤ 90°, in order of falling intensity:
2θ (°)	I (rel.)	h k l
29.73	100	0 2 0
23.27	92	1 1 0
40.95	43	2 0 4
51.36	29	2 2 4
27.58	28	0 0 6
36.39	27	1 1 6
27.35	26	0 1 5
18.29	21	0 0 4
49.01	12	1 3 0
52.74	12	1 3 4

***

Entry 11:
This entry pairs a crystal structure of Er2Tm8Mg with its computed X-ray powder pattern. Radiation: Cu Kα, 1.54184 Å. Structure: a GGA-PBE-relaxed structure.

Crystal structure
```
data_Er2Tm8Mg
_chemical_formula_sum 'Er4 Tm16 Mg2'
_space_group_name_H-M_alt 'I m m m'
_space_group_IT_number 71
_space_group_name_Hall '-I 2 2'
_cell_length_a 5.414
_cell_length_b 7.298
_cell_length_c 17.110
_cell_angle_alpha 90.00
_cell_angle_beta 90.00
_cell_angle_gamma 90.00
loop_
_atom_site_label
_atom_site_type_symbol
_atom_site_fract_x
_atom_site_fract_y
_atom_site_fract_z
_atom_site_occupancy
Er1 Er 0.000 0.000 0.194 1
Tm1 Tm 0.000 0.246 0.000 1
Tm2 Tm 0.000 0.263 0.361 1
Tm3 Tm 0.000 0.500 0.183 1
Mg1 Mg 0.000 0.000 0.500 1
```

Top 10 peaks for 10° ≤ 2θ ≤ 90°, in order of falling intensity:
2θ (°)	I (rel.)	h k l
33.53	100	1 2 3
30.91	35	1 0 5
33.10	31	2 0 0
59.39	20	3 2 3
26.56	17	0 2 2
60.75	16	2 2 8
31.37	16	0 0 6
49.39	15	0 2 8
46.24	11	2 0 6
59.94	10	1 4 5

***

Entry 12:
This entry pairs a crystal structure of Li2CaNi9 with its computed X-ray powder pattern. Radiation: Cu Kα, 1.54184 Å. Structure: a GGA-PBE-relaxed structure.

Crystal structure
```
data_Li2CaNi9
_chemical_formula_sum 'Li4 Ca2 Ni18'
_space_group_name_H-M_alt 'P 4/m b m'
_space_group_IT_number 127
_space_group_name_Hall '-P 4 2ab'
_cell_length_a 8.089
_cell_length_b 8.089
_cell_length_c 4.741
_cell_angle_alpha 90.00
_cell_angle_beta 90.00
_cell_angle_gamma 90.00
loop_
_atom_site_label
_atom_site_type_symbol
_atom_site_fract_x
_atom_site_fract_y
_atom_site_fract_z
_atom_site_occupancy
Li1 Li 0.115 0.385 0.000 1
Ca1 Ca 0.000 0.000 0.000 1
Ni1 Ni 0.000 0.500 0.500 1
Ni2 Ni 0.063 0.211 0.500 1
Ni3 Ni 0.180 0.680 0.244 1
```

Top 10 peaks for 10° ≤ 2θ ≤ 90°, in order of falling intensity:
2θ (°)	I (rel.)	h k l
18.71	100	0 0 1
46.28	84	4 1 0
45.76	70	2 1 2
40.05	55	3 1 1
44.29	37	2 0 2
24.61	36	2 1 0
47.70	27	3 3 0
52.64	27	3 1 2
44.69	21	3 2 1
36.70	21	2 2 1